[1]
Diffraction record for Pm2CuO3. The powder X-ray diffraction pattern is calculated, not measured: it uses a PBE-relaxed structure and copper Kα.
Intensities are scaled so that the largest is 100.

Most intense lines, 2θ = 10–80°, in order of falling intensity:
- 2θ = 36.23°, intensity 100.0, (1 1 0)
- 2θ = 33.19°, intensity 91.6, (1 0 3)
- 2θ = 31.28°, intensity 85.4, (0 1 3)
- 2θ = 45.23°, intensity 32.6, (1 1 4)
- 2θ = 60.94°, intensity 31.9, (1 2 3)
- 2θ = 54.82°, intensity 31.6, (1 1 6)
- 2θ = 39.69°, intensity 25.8, (0 0 6)
- 2θ = 26.16°, intensity 25.0, (0 0 4)
- 2θ = 25.07°, intensity 23.5, (0 1 1)
- 2θ = 49.54°, intensity 23.4, (0 2 0)

Crystal structure
Cell: 3.3560 3.6798 13.6256 Å, 90.00 90.00 90.00°
Space group Immm (No. 71)
One atom of each set of equivalent atoms:
1 Pm 0.0000 0.0000 0.1446 x4
2 Cu 0.0000 0.0000 0.5000 x2
3 O 0.0000 0.0000 0.3173 x4
4 O 0.0000 0.5000 0.5000 x2

***

[2]
Diffraction record for SbPt2WBr. The powder X-ray diffraction pattern is calculated, not measured: it uses a PBE-relaxed structure and copper Kα.
Intensities are scaled so that the largest is 100.

Most intense lines, 2θ = 10–80°, in order of falling intensity:
- 2θ = 30.61°, intensity 100.0, (1 1 1)
- 2θ = 36.28°, intensity 68.1, (2 0 0)
- 2θ = 50.46°, intensity 53.5, (2 0 2)
- 2θ = 33.84°, intensity 41.1, (0 0 2)
- 2θ = 17.91°, intensity 32.0, (1 0 0)
- 2θ = 61.78°, intensity 27.8, (3 1 1)
- 2θ = 63.72°, intensity 26.6, (2 2 2)
- 2θ = 52.25°, intensity 24.1, (2 2 0)
- 2θ = 16.73°, intensity 22.2, (0 0 1)
- 2θ = 58.54°, intensity 16.4, (1 1 3)

Crystal structure
Cell: 4.9517 4.9517 5.2977 Å, 90.00 90.00 90.00°
Space group P4/mmm (No. 123)
One atom of each set of equivalent atoms:
1 Sb 0.0000 0.0000 0.0000 x1
2 Pt 0.0000 0.5000 0.0000 x2
3 W 0.0000 0.0000 0.5000 x1
4 Br 0.5000 0.5000 0.5000 x1

***

[3]
Diffraction record for Pu2Bi5Pb. The powder X-ray diffraction pattern is calculated, not measured: it uses a PBE-relaxed structure and copper Kα.
Intensities are scaled so that the largest is 100.

Most intense lines, 2θ = 10–80°, in order of falling intensity:
- 2θ = 31.47°, intensity 100.0, (2 2 1)
- 2θ = 36.03°, intensity 35.2, (0 0 2)
- 2θ = 61.94°, intensity 30.1, (2 2 3)
- 2θ = 52.92°, intensity 24.0, (4 0 2)
- 2θ = 37.42°, intensity 15.9, (4 0 0)
- 2θ = 63.81°, intensity 13.8, (6 2 1)
- 2θ = 51.87°, intensity 12.7, (0 4 2)
- 2θ = 65.69°, intensity 12.7, (4 4 2)
- 2θ = 76.33°, intensity 2.1, (0 0 4)
- 2θ = 76.48°, intensity 2.1, (0 8 0)

Crystal structure
Cell: 9.6135 9.9640 4.9902 Å, 90.00 90.00 90.00°
Space group Cmmm (No. 65)
One atom of each set of equivalent atoms:
1 Pu 0.0000 0.2438 0.0000 x4
2 Bi 0.0000 0.0000 0.5000 x2
3 Bi 0.2456 0.5000 0.0000 x4
4 Bi 0.2500 0.2500 0.5000 x4
5 Pb 0.0000 0.5000 0.5000 x2

***

[4]
Diffraction record for La7Br12Cl. The powder X-ray diffraction pattern is calculated, not measured: it uses a PBE-relaxed structure and copper Kα.
Intensities are scaled so that the largest is 100.

Most intense lines, 2θ = 10–80°, in order of falling intensity:
- 2θ = 29.97°, intensity 100.0, (4 -1 2)
- 2θ = 43.11°, intensity 36.2, (1 3 4)
- 2θ = 42.67°, intensity 34.8, (5 2 0)
- 2θ = 11.58°, intensity 26.0, (1 1 0)
- 2θ = 53.02°, intensity 17.3, (2 6 2)
- 2θ = 70.95°, intensity 14.7, (5 2 6)
- 2θ = 28.67°, intensity 13.7, (2 -1 3)
- 2θ = 70.31°, intensity 13.1, (9 1 2)
- 2θ = 62.27°, intensity 10.7, (8 -2 4)
- 2θ = 78.43°, intensity 9.5, (6 5 4)

Crystal structure
Cell: 15.2801 15.2801 10.2298 Å, 90.00 90.00 120.00°
Space group R-3 (No. 148, hexagonal axes)
One atom of each set of equivalent atoms:
1 La 0.0000 0.0000 0.0000 x3
2 La 0.0431 0.8809 0.3373 x18
3 Br 0.0247 0.4389 0.1617 x18
4 Br 0.0503 0.8612 0.8433 x18
5 Cl 0.0000 0.0000 0.5000 x3